K2NbF7: computed PXRD pattern (CuKα), based on a structure optimized by DFT (GGA-PBE).
No peak broadening, texture or thermal motion is included.

Top 6 peaks for 2θ from 15° to 90°, sorted by position:
2θ/deg	intensity	index
17.39	43	1 1 0
18.09	80	0 2 1
20.51	39	1 1 1
26.99	100	1 3 0
27.93	67	1 1 2
29.17	50	1 3 -1

Cell and atoms:
Lattice parameters (Å, degrees): 5.609 12.241 8.199 90.00 90.04 90.00
Space group P2_1/c (No. 14)
Asymmetric unit:
K1 0.238 0.059 0.180
K2 0.239 0.719 0.055
Nb1 0.270 0.127 0.721
F1 0.033 0.106 0.898
F2 0.035 0.248 0.697
F3 0.180 0.119 0.491
F4 0.214 0.531 0.218
F5 0.426 0.573 0.878
F6 0.471 0.239 0.204
F7 0.476 0.109 0.916

=====

ZrZnIn2: computed PXRD pattern (CuKα), based on a structure optimized by DFT (GGA-PBE).
No peak broadening, texture or thermal motion is included.

Top 6 peaks for 2θ from 15° to 90°, sorted by position:
2θ/deg	intensity	index
21.87	4	1 1 1
36.09	100	2 2 0
51.95	17	4 0 0
64.89	34	4 2 2
76.55	10	4 4 0
87.67	15	6 2 0

Cell and atoms:
Lattice parameters (Å, degrees): 7.040 7.040 7.040 90.00 90.00 90.00
Space group F-43m (No. 216)
Asymmetric unit:
Zr1 0.000 0.000 0.000
Zn1 0.250 0.250 0.750
In1 0.000 0.000 0.500
In2 0.250 0.250 0.250

=====

BaTaN2O: computed PXRD pattern (CuKα), based on a structure optimized by DFT (GGA-PBE).
No peak broadening, texture or thermal motion is included.

Top 6 peaks for 2θ from 15° to 90°, sorted by position:
2θ/deg	intensity	index
30.31	100	1 1 0
30.47	99	0 1 2
43.52	53	2 0 2
53.84	20	3 0 0
53.95	40	1 2 2
87.56	21	2 3 2

Cell and atoms:
Lattice parameters (Å, degrees): 5.8983 5.8983 7.1659 90.00 90.00 120.00
Space group P3_221 (No. 154)
Asymmetric unit:
Ba1 0.0000 0.6724 0.3333
Ta1 0.0000 0.6570 0.8333
N1 0.1621 0.5015 0.6689
O1 0.0000 0.1610 0.3333

=====

Q: Number 3 is which compound?
A: BaTaN2O